[1]
Starting from a DFT-relaxed cell (GGA-PBE, Alexandria), the powder diffractogram of PmMg3Zn8 was simulated for copper Kα.

Cell and atoms:
a = 9.265 Å, b = 9.265 Å, c = 9.265 Å
α = 33.34°, β = 33.34°, γ = 33.34°
Fractional positions:
Pm (0.000, 0.000, 0.000)
Mg (0.381, 0.381, 0.381)
Mg (0.502, 0.502, 0.502)
Mg (0.874, 0.874, 0.874)
Zn (0.187, 0.187, 0.187)
Zn (0.437, 0.437, 0.931)
Zn (0.437, 0.931, 0.437)
Zn (0.443, 0.940, 0.940)
Zn (0.689, 0.689, 0.689)
Zn (0.931, 0.437, 0.437)
Zn (0.940, 0.443, 0.940)
Zn (0.940, 0.940, 0.443)

Peak list (10 most intense, 10 to 90 degrees two-theta, sorted by position)
- 2θ = 19.6°, intensity 14
- 2θ = 20.4°, intensity 21
- 2θ = 39.5°, intensity 35
- 2θ = 39.7°, intensity 100
- 2θ = 41.3°, intensity 16
- 2θ = 41.6°, intensity 50
- 2θ = 64.2°, intensity 15
- 2θ = 64.3°, intensity 15
- 2θ = 70.5°, intensity 17
- 2θ = 70.9°, intensity 17

---

[2]
Starting from a DFT-relaxed cell (GGA-PBE, Alexandria), the powder diffractogram of TlInRe2Tc was simulated for copper Kα.

Cell and atoms:
a = 4.947 Å, b = 4.947 Å, c = 5.118 Å
α = 90.00°, β = 90.00°, γ = 90.00°
Fractional positions:
Tl (0.000, 0.000, 0.000)
In (0.000, 0.000, 0.500)
Re (0.000, 0.500, 0.500)
Re (0.500, 0.000, 0.500)
Tc (0.500, 0.500, 0.000)

Peak list (10 most intense, 10 to 90 degrees two-theta, sorted by position)
- 2θ = 17.9°, intensity 28
- 2θ = 31.0°, intensity 100
- 2θ = 35.1°, intensity 37
- 2θ = 36.3°, intensity 67
- 2θ = 51.4°, intensity 50
- 2θ = 52.3°, intensity 24
- 2θ = 60.4°, intensity 15
- 2θ = 62.0°, intensity 28
- 2θ = 64.5°, intensity 25
- 2θ = 85.4°, intensity 18

---

[3]
Starting from a DFT-relaxed cell (GGA-PBE, Alexandria), the powder diffractogram of Tl4Cl5 was simulated for copper Kα.

Cell and atoms:
a = 9.176 Å, b = 9.176 Å, c = 7.811 Å
α = 90.00°, β = 90.00°, γ = 120.00°
Fractional positions:
Tl (0.000, 0.000, 0.000)
Tl (0.000, 0.000, 0.500)
Tl (0.000, 0.434, 0.250)
Tl (0.000, 0.566, 0.750)
Tl (0.434, 0.000, 0.250)
Tl (0.434, 0.434, 0.750)
Tl (0.566, 0.000, 0.750)
Tl (0.566, 0.566, 0.250)
Cl (0.000, 0.230, 0.750)
Cl (0.000, 0.770, 0.250)
Cl (0.230, 0.000, 0.750)
Cl (0.230, 0.230, 0.250)
Cl (0.333, 0.667, 0.000)
Cl (0.333, 0.667, 0.500)
Cl (0.667, 0.333, 0.000)
Cl (0.667, 0.333, 0.500)
Cl (0.770, 0.000, 0.250)
Cl (0.770, 0.770, 0.750)

Peak list (10 most intense, 10 to 90 degrees two-theta, sorted by position)
- 2θ = 22.4°, intensity 100
- 2θ = 25.4°, intensity 25
- 2θ = 30.0°, intensity 58
- 2θ = 31.9°, intensity 40
- 2θ = 37.8°, intensity 23
- 2θ = 42.6°, intensity 33
- 2θ = 46.1°, intensity 14
- 2θ = 47.4°, intensity 20
- 2θ = 52.2°, intensity 17
- 2θ = 54.6°, intensity 16

---

[4]
Starting from a DFT-relaxed cell (GGA-PBE, Alexandria), the powder diffractogram of ZnAgPt was simulated for copper Kα.

Cell and atoms:
a = 5.697 Å, b = 5.697 Å, c = 5.697 Å
α = 149.58°, β = 149.58°, γ = 43.56°
Fractional positions:
Zn (0.000, 0.000, 0.000)
Ag (0.331, 0.331, 0.000)
Pt (0.643, 0.643, 0.000)

Peak list (10 most intense, 10 to 90 degrees two-theta, sorted by position)
- 2θ = 16.8°, intensity 14
- 2θ = 31.1°, intensity 18
- 2θ = 39.5°, intensity 100
- 2θ = 42.8°, intensity 42
- 2θ = 51.8°, intensity 10
- 2θ = 62.1°, intensity 13
- 2θ = 69.4°, intensity 16
- 2θ = 76.2°, intensity 28
- 2θ = 85.1°, intensity 9
- 2θ = 89.6°, intensity 7